Starting from a structure optimized by DFT (GGA+U), the PXRD pattern of Ba3Mo4O12 was computed for Cu Kα (λ = 1.5418 Å).
Lines closer than 0.1° are merged.

Principal peaks in the range 5 to 70 degrees two-theta, in order of rising 2θ:
- hkl 0 0 1, 15.26 deg, intensity 20
- hkl 2 2 -1, 26.57 deg, intensity 5
- hkl 2 2 -2, 30.81 deg, intensity 100
- hkl 4 0 -2, 31.07 deg, intensity 20
- hkl 0 4 0, 43.89 deg, intensity 14
- hkl 4 0 0, 44.34 deg, intensity 26
- hkl 0 4 2, 54.60 deg, intensity 8
- hkl 2 2 2, 54.79 deg, intensity 24
- hkl 6 2 -2, 55.11 deg, intensity 15
- hkl 4 4 0, 64.16 deg, intensity 16
- hkl 0 0 4, 64.25 deg, intensity 4
- hkl 8 0 -4, 64.77 deg, intensity 4

Atomic structure:
```
data_Ba3Mo4O12
_chemical_formula_sum 'Ba6 Mo8 O24'
_symmetry_space_group_name_H-M 'C 1 2/m 1'
_symmetry_Int_Tables_number 12
_cell_length_a 11.5142
_cell_length_b 8.2518
_cell_length_c 8.1678
_cell_angle_alpha 90.00
_cell_angle_beta 134.77
_cell_angle_gamma 90.00
loop_
_symmetry_equiv_pos_as_xyz
'x,y,z'
'-x,-y,-z'
'-x,y,-z'
'x,-y,z'
'x+1/2,y+1/2,z'
'-x+1/2,-y+1/2,-z'
'-x+1/2,y+1/2,-z'
'x+1/2,-y+1/2,z'
loop_
_atom_site_label
_atom_site_type_symbol
_atom_site_fract_x
_atom_site_fract_y
_atom_site_fract_z
Ba1 Ba 0.0000 0.0000 0.0000
Ba2 Ba 0.0000 0.0000 0.5000
Ba3 Ba 0.0000 0.5000 0.0000
Mo1 Mo 0.2500 0.2500 0.0000
Mo2 Mo 0.2500 0.2500 0.5000
O1 O 0.0017 0.2465 0.2443
O2 O 0.2386 0.0000 0.9816
O3 O 0.2451 0.0000 0.5082
O4 O 0.2479 0.2511 0.2343
```